Simulated powder diffraction line list of CaTbMgSc for Cu Ka, from a cell relaxed with PBE.
Lines closer than 0.1° are merged.

```
CaTbMgSc
1.0
7.760 0.000 0.000
0.000 7.760 0.000
0.000 0.000 7.760
Ca Tb Mg Sc
4 4 4 4
direct
0.000 0.000 0.000
0.000 0.500 0.500
0.500 0.000 0.500
0.500 0.500 0.000
0.000 0.000 0.500
0.000 0.500 0.000
0.500 0.000 0.000
0.500 0.500 0.500
0.250 0.250 0.250
0.250 0.750 0.750
0.750 0.250 0.750
0.750 0.750 0.250
0.250 0.250 0.750
0.250 0.750 0.250
0.750 0.250 0.250
0.750 0.750 0.750
```

Most intense lines, 10° ≤ 2θ ≤ 90°, in order of rising 2θ:
- 2θ = 19.82°, I = 41.3
- 2θ = 22.92°, I = 27.4
- 2θ = 32.64°, I = 100.0
- 2θ = 38.47°, I = 23.9
- 2θ = 46.83°, I = 17.7
- 2θ = 51.32°, I = 10.8
- 2θ = 52.75°, I = 11.9
- 2θ = 58.24°, I = 36.2
- 2θ = 68.38°, I = 11.0
- 2θ = 77.85°, I = 15.0